1.
This entry pairs a crystal structure of Ba2GdC2O6F3 with its calculated powder diffractogram. Radiation: Cu Ka. Structure: a DFT-relaxed cell (PBE, the Materials Project).

Peak list (8 most intense, 2θ = 10–80°, most intense first)
2theta  d [Å]  Rel. int.
27.26  3.271  100
23.49  3.787  78
25.07  3.551  37
45.54  1.992  36
31.29  2.858  31
31.42  2.847  28
40.29  2.238  26
30.71  2.911  24

Cell and atoms:
```
56
Lattice="9.656 0.000 0.000 0.000 7.103 0.000 0.000 0.000 11.959" Properties=species:S:1:pos:R:3 pbc="T T T"
Ba 1.159 1.692 0.853
Ba 1.159 5.410 6.833
Ba 3.669 1.859 6.833
Ba 3.669 5.244 0.853
Ba 5.987 1.859 11.107
Ba 5.987 5.244 5.127
Ba 8.497 1.692 5.127
Ba 8.497 5.410 11.107
Gd 0.000 1.616 8.970
Gd 0.000 5.487 2.990
Gd 4.828 1.936 2.990
Gd 4.828 5.167 8.970
C 1.875 3.405 3.843
C 1.875 3.698 9.823
C 2.953 0.147 9.823
C 2.953 6.956 3.843
C 6.703 0.147 8.116
C 6.703 6.956 2.137
C 7.781 3.405 2.137
C 7.781 3.698 8.116
O 0.878 3.399 10.611
O 0.878 3.704 4.631
O 1.803 3.262 8.589
O 1.803 3.841 2.609
O 1.961 0.842 10.239
O 1.961 6.261 4.259
O 2.867 2.709 4.259
O 2.867 4.394 10.239
O 3.025 0.289 2.609
O 3.025 6.813 8.589
O 3.950 0.153 4.631
O 3.950 6.950 10.611
O 5.706 0.153 1.348
O 5.706 6.950 7.328
O 6.631 0.289 3.371
O 6.631 6.813 9.351
O 6.789 2.709 1.720
O 6.789 4.394 7.700
O 7.695 0.842 7.700
O 7.695 6.261 1.720
O 7.853 3.262 9.351
O 7.853 3.841 3.371
O 8.778 3.399 7.328
O 8.778 3.704 1.348
F 0.000 0.730 2.990
F 0.000 6.373 8.970
F 0.920 1.060 6.885
F 0.920 6.043 0.906
F 3.908 2.492 0.906
F 3.908 4.611 6.885
F 4.828 2.821 8.970
F 4.828 4.281 2.990
F 5.748 2.492 5.074
F 5.748 4.611 11.054
F 8.736 1.060 11.054
F 8.736 6.043 5.074
```


2.
This entry pairs a crystal structure of KGaH4 with its calculated powder diffractogram. Radiation: Cu Ka. Structure: a DFT-relaxed cell (PBE, the Materials Project).

Peak list (8 most intense, 2θ = 10–80°, most intense first)
2theta  d [Å]  Rel. int.
27.86  3.202  100
25.03  3.558  82
30.64  2.918  59
31.71  2.822  50
41.26  2.188  34
26.15  3.408  32
24.24  3.671  32
52.95  1.729  29

Cell and atoms:
```
24
Lattice="9.168 0.000 0.000 0.000 5.644 0.000 0.000 0.000 7.343" Properties=species:S:1:pos:R:3 pbc="T T T"
K 1.711 1.411 1.140
K 2.873 4.233 4.812
K 6.295 1.411 2.531
K 7.457 4.233 6.203
Ga 0.568 1.411 5.056
Ga 4.016 4.233 1.385
Ga 5.152 1.411 5.958
Ga 8.601 4.233 2.287
H 0.760 0.116 5.989
H 0.760 2.706 5.989
H 0.894 4.233 2.887
H 1.707 1.411 3.938
H 2.877 4.233 0.267
H 3.690 1.411 6.559
H 3.825 2.938 2.317
H 3.825 5.528 2.317
H 5.344 0.116 5.026
H 5.344 2.706 5.026
H 5.479 4.233 0.784
H 6.291 1.411 7.076
H 7.461 4.233 3.405
H 8.274 1.411 4.455
H 8.409 2.938 1.354
H 8.409 5.528 1.354
```


Question: Number 2 is which compound?
Answer: KGaH4